Starting from a crystal structure in Alexandria, relaxed with PBE+U, the powder diffraction line list of NaFeRuO4 was simulated for Cu Kα (λ = 1.5418 Å).
Intensities are scaled so that the largest is 100.

Cell and atoms:
Cell: 9.4260 2.9853 10.9398 Å, 90.00 90.00 90.00°
Space group Pnma (No. 62)
Symmetry-distinct sites (fractional):
Na  0.2371  0.2500  0.1518 (multiplicity 4)
Fe  0.0817  0.2500  0.9018 (multiplicity 4)
Ru  0.0570  0.2500  0.3805 (multiplicity 4)
O  0.0294  0.7500  0.7830 (multiplicity 4)
O  0.0832  0.2500  0.5668 (multiplicity 4)
O  0.1168  0.7500  0.0194 (multiplicity 4)
O  0.1975  0.7500  0.3447 (multiplicity 4)

Main lines, in order of rising 2θ (2θ from 15° to 90°):
(hkl), 2θ (°), I/Imax
2 0 0, 18.80, 88
0 0 4, 32.74, 37
3 0 2, 32.87, 66
1 1 2, 35.57, 100
2 1 4, 49.14, 27
4 1 0, 49.26, 24
4 1 4, 60.44, 31
0 2 4, 72.13, 22